1.
Theoretical powder diffraction line list
Compound: Mg8CdHg4
Radiation: Cu Ka
Structure: a structure optimized by DFT (PBE)
Intensities are scaled so that the largest is 100.

Principal peaks in the range 2θ from 5° to 70°, most intense first:
| 2θ (°) | I_rel |
| --- | --- |
| 37.7 | 100 |
| 22.8 | 88 |
| 26.4 | 50 |
| 44.6 | 48 |
| 68.1 | 35 |
| 59.8 | 20 |
| 61.5 | 20 |
| 54.4 | 17 |

Structural model:
Lattice parameters (Å, degrees): 6.744 6.744 6.744 90.00 90.00 90.00
Space group Pm-3m (No. 221)
Asymmetric unit:
Mg  0.242  0.242  0.242 (multiplicity 8)
Cd  0.500  0.500  0.500 (multiplicity 1)
Hg  0.000  0.000  0.000 (multiplicity 1)
Hg  0.000  0.500  0.500 (multiplicity 3)

=====

2.
Theoretical powder diffraction line list
Compound: Mg8Cd3Hg
Radiation: Cu Ka
Structure: a structure optimized by DFT (PBE)
Intensities are scaled so that the largest is 100.

Principal peaks in the range 2θ from 5° to 70°, most intense first:
| 2θ (°) | I_rel |
| --- | --- |
| 37.9 | 100 |
| 23.2 | 97 |
| 22.6 | 97 |
| 44.9 | 49 |
| 44.1 | 35 |
| 36.9 | 27 |
| 26.4 | 26 |
| 38.3 | 24 |

Structural model:
Lattice parameters (Å, degrees): 9.395 9.734 13.313 90.00 90.00 90.00
Space group Fmmm (No. 69)
Asymmetric unit:
Mg  0.000  0.248  0.121 (multiplicity 16)
Mg  0.248  0.000  0.127 (multiplicity 16)
Cd  0.000  0.000  0.500 (multiplicity 4)
Cd  0.250  0.250  0.250 (multiplicity 8)
Hg  0.000  0.000  0.000 (multiplicity 4)

=====

3.
Theoretical powder diffraction line list
Compound: Mg5CdHg2Pb
Radiation: Cu Ka
Structure: a structure optimized by DFT (PBE)
Intensities are scaled so that the largest is 100.

Principal peaks in the range 2θ from 5° to 70°, most intense first:
| 2θ (°) | I_rel |
| --- | --- |
| 20.9 | 100 |
| 31.9 | 74 |
| 28.1 | 73 |
| 26.8 | 60 |
| 32.5 | 45 |
| 51.8 | 42 |
| 38.4 | 40 |
| 40.9 | 40 |

Structural model:
Lattice parameters (Å, degrees): 7.222 7.222 17.021 90.00 90.00 90.00
Space group I4/mcm (No. 140)
Asymmetric unit:
Mg  0.000  0.000  0.000 (multiplicity 4)
Mg  0.223  0.277  0.140 (multiplicity 16)
Cd  0.000  0.000  0.250 (multiplicity 4)
Hg  0.137  0.363  0.500 (multiplicity 8)
Pb  0.000  0.500  0.250 (multiplicity 4)

=====

4.
Theoretical powder diffraction line list
Compound: PmMg2CdHg2
Radiation: Cu Ka
Structure: a structure optimized by DFT (PBE)
Intensities are scaled so that the largest is 100.

Principal peaks in the range 2θ from 5° to 70°, most intense first:
| 2θ (°) | I_rel |
| --- | --- |
| 33.9 | 100 |
| 36.6 | 85 |
| 24.7 | 81 |
| 50.8 | 32 |
| 64.2 | 31 |
| 67.2 | 18 |
| 44.7 | 18 |
| 45.5 | 17 |

Structural model:
Lattice parameters (Å, degrees): 4.9054 4.9054 6.7652 90.00 90.00 120.00
Space group P-3m1 (No. 164)
Asymmetric unit:
Pm  0.0000  0.0000  0.0000 (multiplicity 1)
Mg  0.3333  0.6667  0.6843 (multiplicity 2)
Cd  0.0000  0.0000  0.5000 (multiplicity 1)
Hg  0.3333  0.6667  0.2223 (multiplicity 2)